1.
Diffraction record for BeIn2. The X-ray diffraction stick pattern is calculated, not measured: it uses the PBE geometry in Alexandria and Cu Kα, 1.54184 Å.

Largest 8 diffraction maxima, by angle, 10° ≤ 2θ ≤ 90°:
hkl 1 0 1, 2θ = 27.39°, rel. 131
hkl 0 0 2, 2θ = 29.13°, rel. 140
hkl 1 2 1, 2θ = 32.16°, rel. 1000
hkl 0 4 0, 2θ = 33.45°, rel. 257
hkl 0 2 2, 2θ = 33.68°, rel. 248
hkl 1 1 2, 2θ = 38.49°, rel. 108
hkl 2 0 0, 2θ = 47.30°, rel. 113
hkl 1 6 1, 2θ = 58.98°, rel. 145

Structural model:
a = 3.844 Å, b = 10.716 Å, c = 6.131 Å
α = 90.00°, β = 90.00°, γ = 90.00°
Space group Imm2 (No. 44)
One atom of each set of equivalent atoms:
Be  0.000  0.104  0.000 x4
In  0.000  0.000  0.376 x2
In  0.000  0.265  0.691 x4
In  0.000  0.500  0.271 x2

---

2.
Diffraction record for MgAs2F8. The X-ray diffraction stick pattern is calculated, not measured: it uses the PBE geometry in Alexandria and Cu Kα, 1.54184 Å.

Largest 8 diffraction maxima, by angle, 10° ≤ 2θ ≤ 90°:
hkl 1 1 0, 2θ = 16.60°, rel. 568
hkl 2 0 -2, 2θ = 17.85°, rel. 721
hkl 1 1 1, 2θ = 21.18°, rel. 826
hkl 3 1 -1, 2θ = 24.27°, rel. 1000
hkl 1 1 -3, 2θ = 31.01°, rel. 373
hkl 6 0 -2, 2θ = 38.67°, rel. 336
hkl 2 2 -3, 2θ = 40.11°, rel. 305
hkl 0 2 3, 2θ = 42.99°, rel. 341

Structural model:
a = 13.991 Å, b = 5.948 Å, c = 10.305 Å
α = 90.00°, β = 119.94°, γ = 90.00°
Space group C2/c (No. 15)
One atom of each set of equivalent atoms:
Mg  0.000  0.138  0.250 x4
As  0.131  0.164  0.630 x8
F  0.011  0.135  0.903 x8
F  0.057  0.321  0.434 x8
F  0.151  0.052  0.296 x8
F  0.152  0.409  0.738 x8

---

3.
Diffraction record for Y6Al2Zn. The X-ray diffraction stick pattern is calculated, not measured: it uses the PBE geometry in Alexandria and Cu Kα, 1.54184 Å.

Largest 8 diffraction maxima, by angle, 10° ≤ 2θ ≤ 90°:
hkl 1 2 -2, 2θ = 27.55°, rel. 205
hkl 0 2 2, 2θ = 27.90°, rel. 223
hkl 1 0 2, 2θ = 30.58°, rel. 305
hkl 2 1 -2, 2θ = 31.42°, rel. 301
hkl 1 1 2, 2θ = 32.34°, rel. 253
hkl 2 1 -3, 2θ = 33.59°, rel. 336
hkl 1 3 -1, 2θ = 34.60°, rel. 1000
hkl 0 2 3, 2θ = 35.07°, rel. 208

Structural model:
a = 6.057 Å, b = 8.614 Å, c = 10.874 Å
α = 90.00°, β = 118.63°, γ = 90.00°
Space group P2_1/c (No. 14)
One atom of each set of equivalent atoms:
Y  0.043  0.169  0.436 x4
Y  0.354  0.675  0.438 x4
Y  0.397  0.029  0.289 x4
Al  0.174  0.131  0.750 x4
Zn  0.000  0.000  0.000 x2

---

4.
Diffraction record for K2SrAsSe4. The X-ray diffraction stick pattern is calculated, not measured: it uses the PBE geometry in Alexandria and Cu Kα, 1.54184 Å.

Largest 8 diffraction maxima, by angle, 10° ≤ 2θ ≤ 90°:
hkl 0 1 1, 2θ = 11.71°, rel. 375
hkl 0 0 4, 2θ = 28.55°, rel. 518
hkl 2 2 0, 2θ = 28.94°, rel. 1000
hkl 2 3 1, 2θ = 36.74°, rel. 141
hkl 0 4 0, 2θ = 37.97°, rel. 168
hkl 2 2 4, 2θ = 41.10°, rel. 656
hkl 4 0 0, 2θ = 44.60°, rel. 163
hkl 4 0 4, 2θ = 53.81°, rel. 173

Structural model:
a = 8.127 Å, b = 9.478 Å, c = 12.508 Å
α = 90.00°, β = 90.00°, γ = 90.00°
Space group Imma (No. 74)
One atom of each set of equivalent atoms:
K  0.000  0.000  0.000 x4
K  0.250  0.250  0.250 x4
Sr  0.000  0.000  0.500 x4
As  0.250  0.250  0.750 x4
Se  0.000  0.052  0.747 x8
Se  0.237  0.250  0.527 x8

---

5.
Diffraction record for Ce3ErGe4. The X-ray diffraction stick pattern is calculated, not measured: it uses the PBE geometry in Alexandria and Cu Kα, 1.54184 Å.

Largest 8 diffraction maxima, by angle, 10° ≤ 2θ ≤ 90°:
hkl 1 1 2, 2θ = 28.15°, rel. 1000
hkl 1 1 4, 2θ = 34.41°, rel. 259
hkl 0 2 4, 2θ = 35.85°, rel. 607
hkl 1 2 3, 2θ = 39.42°, rel. 288
hkl 2 0 0, 2θ = 44.24°, rel. 287
hkl 1 3 2, 2θ = 49.20°, rel. 198
hkl 2 2 4, 2θ = 58.19°, rel. 191
hkl 1 3 8, 2θ = 68.28°, rel. 188

Structural model:
a = 4.096 Å, b = 6.454 Å, c = 15.864 Å
α = 90.00°, β = 90.00°, γ = 90.00°
Space group Immm (No. 71)
One atom of each set of equivalent atoms:
Ce  0.000  0.000  0.000 x2
Ce  0.000  0.500  0.196 x4
Er  0.000  0.000  0.500 x2
Ge  0.000  0.305  0.370 x8

---

6.
Diffraction record for ZrIn3. The X-ray diffraction stick pattern is calculated, not measured: it uses the PBE geometry in Alexandria and Cu Kα, 1.54184 Å.

Largest 8 diffraction maxima, by angle, 10° ≤ 2θ ≤ 90°:
hkl 2 0 0, 2θ = 33.39°, rel. 598
hkl 0 2 1, 2θ = 33.60°, rel. 488
hkl 1 0 2, 2θ = 35.36°, rel. 991
hkl 1 2 1, 2θ = 37.66°, rel. 1000
hkl 2 2 1, 2θ = 48.10°, rel. 347
hkl 3 2 1, 2θ = 62.52°, rel. 216
hkl 2 2 3, 2θ = 67.58°, rel. 215
hkl 1 4 2, 2θ = 73.12°, rel. 223

Structural model:
a = 5.367 Å, b = 6.018 Å, c = 5.762 Å
α = 90.00°, β = 90.00°, γ = 90.00°
Space group Pmmn (No. 59, origin choice 2)
One atom of each set of equivalent atoms:
Zr  0.250  0.250  0.129 x2
In  0.250  0.004  0.640 x4
In  0.250  0.750  0.142 x2

---

7.
Diffraction record for Li4PuSc3Se8. The X-ray diffraction stick pattern is calculated, not measured: it uses the PBE geometry in Alexandria and Cu Kα, 1.54184 Å.

Largest 8 diffraction maxima, by angle, 10° ≤ 2θ ≤ 90°:
hkl 0 0 3, 2θ = 13.78°, rel. 488
hkl 0 2 1, 2θ = 26.56°, rel. 362
hkl 0 2 4, 2θ = 32.17°, rel. 1000
hkl 2 0 5, 2θ = 35.15°, rel. 203
hkl 2 0 8, 2θ = 46.14°, rel. 715
hkl 0 0 12, 2θ = 57.35°, rel. 245
hkl 2 2 12, 2θ = 76.56°, rel. 308
hkl 0 2 16, 2θ = 85.48°, rel. 234

Structural model:
a = 7.8696 Å, b = 7.8696 Å, c = 19.2810 Å
α = 90.00°, β = 90.00°, γ = 120.00°
Space group R-3m (No. 166, hexagonal axes)
One atom of each set of equivalent atoms:
Li  0.0000  0.0000  0.0000 x3
Li  0.0000  0.5000  0.0000 x9
Pu  0.0000  0.0000  0.5000 x3
Sc  0.0000  0.5000  0.5000 x9
Se  0.0000  0.0000  0.2471 x6
Se  0.0133  0.5066  0.7509 x18

---

8.
Diffraction record for Mn3PbBr9. The X-ray diffraction stick pattern is calculated, not measured: it uses the PBE geometry in Alexandria and Cu Kα, 1.54184 Å.

Largest 8 diffraction maxima, by angle, 10° ≤ 2θ ≤ 90°:
hkl 1 1 -1, 2θ = 11.26°, rel. 309
hkl 1 1 1, 2θ = 15.82°, rel. 1000
hkl 3 1 -1, 2θ = 16.57°, rel. 321
hkl 3 1 -2, 2θ = 17.35°, rel. 317
hkl 3 1 -3, 2θ = 21.70°, rel. 327
hkl 0 2 2, 2θ = 25.02°, rel. 340
hkl 2 2 -3, 2θ = 27.34°, rel. 375
hkl 4 2 0, 2θ = 29.86°, rel. 326

Structural model:
a = 19.687 Å, b = 9.637 Å, c = 13.617 Å
α = 90.00°, β = 129.15°, γ = 90.00°
Space group Cc (No. 9)
One atom of each set of equivalent atoms:
Mn  0.000  0.076  0.000 x4
Mn  0.116  0.420  0.950 x4
Mn  0.412  0.133  0.622 x4
Pb  0.259  0.225  0.784 x4
Br  0.067  0.364  0.313 x4
Br  0.151  0.044  0.194 x4
Br  0.164  0.490  0.654 x4
Br  0.237  0.304  0.974 x4
Br  0.277  0.108  0.582 x4
Br  0.402  0.374  0.556 x4
Br  0.417  0.069  0.023 x4
Br  0.428  0.370  0.869 x4
Br  0.486  0.239  0.357 x4